The following is a simulated PXRD pattern of ErAlTlTe3. It was derived from a crystal structure in Alexandria, relaxed with GGA-PBE, using Cu Kα.

Top 8 peaks for 2θ = 10–90°, sorted by position:
27.6 deg, intensity 100; 28.5 deg, intensity 21; 31.2 deg, intensity 17; 32.4 deg, intensity 15; 32.9 deg, intensity 14; 39.6 deg, intensity 29; 40.7 deg, intensity 17; 46.7 deg, intensity 14

Cell and atoms:
```
data_ErAlTlTe3
_cell_length_a 9.2135
_cell_length_b 4.5558
_cell_length_c 10.4080
_cell_angle_alpha 90.00
_cell_angle_beta 111.05
_cell_angle_gamma 90.00
_symmetry_space_group_name_H-M 'P 1 21/m 1'
_symmetry_Int_Tables_number 11
_symmetry_space_group_name_Hall '-P 2yb'
loop_
_atom_site_label
_atom_site_fract_x
_atom_site_fract_y
_atom_site_fract_z
Er1 0.1767 0.2500 0.1378
Al1 0.3955 0.7500 0.3789
Tl1 0.2882 0.7500 0.7613
Te1 0.0308 0.2500 0.8279
Te2 0.2935 0.2500 0.4699
Te3 0.4040 0.7500 0.1205
```

=====

The following is a simulated PXRD pattern of ErThAl6. It was derived from a crystal structure in Alexandria, relaxed with GGA-PBE, using Cu Kα.

Top 8 peaks for 2θ = 10–90°, sorted by position:
16.1 deg, intensity 31; 25.1 deg, intensity 100; 28.0 deg, intensity 48; 32.4 deg, intensity 21; 37.9 deg, intensity 81; 47.8 deg, intensity 28; 48.5 deg, intensity 22; 64.0 deg, intensity 18

Cell and atoms:
```
data_ErThAl6
_cell_length_a 6.3763
_cell_length_b 6.3763
_cell_length_c 4.6447
_cell_angle_alpha 90.00
_cell_angle_beta 90.00
_cell_angle_gamma 120.00
_symmetry_space_group_name_H-M 'P -6 m 2'
_symmetry_Int_Tables_number 187
_symmetry_space_group_name_Hall 'P -6 2'
loop_
_atom_site_label
_atom_site_fract_x
_atom_site_fract_y
_atom_site_fract_z
Er1 0.0000 0.0000 0.0000
Th1 0.3333 0.6667 0.5000
Al1 0.3755 0.1877 0.5000
Al2 0.5249 0.0497 0.0000
```

=====

The following is a simulated PXRD pattern of Er2TiAl3. It was derived from a crystal structure in Alexandria, relaxed with GGA-PBE, using Cu Kα.

Top 8 peaks for 2θ = 10–90°, sorted by position:
19.3 deg, intensity 59; 19.8 deg, intensity 37; 31.7 deg, intensity 95; 32.3 deg, intensity 70; 37.4 deg, intensity 34; 37.7 deg, intensity 100; 38.2 deg, intensity 38; 56.9 deg, intensity 29

Cell and atoms:
```
data_Er2TiAl3
_cell_length_a 5.6372
_cell_length_b 5.6372
_cell_length_c 13.4645
_cell_angle_alpha 90.00
_cell_angle_beta 90.00
_cell_angle_gamma 120.00
_symmetry_space_group_name_H-M 'R -3 m'
_symmetry_Int_Tables_number 166
_symmetry_space_group_name_Hall '-R 3 2"'
loop_
_atom_site_label
_atom_site_fract_x
_atom_site_fract_y
_atom_site_fract_z
Er1 0.0000 0.0000 0.1280
Ti1 0.0000 0.0000 0.5000
Al1 0.0000 0.5000 0.0000
```

=====

The following is a simulated PXRD pattern of Er3AlTl2. It was derived from a crystal structure in Alexandria, relaxed with GGA-PBE, using Cu Kα.

Top 8 peaks for 2θ = 10–90°, sorted by position:
11.2 deg, intensity 10; 33.9 deg, intensity 51; 34.4 deg, intensity 100; 48.7 deg, intensity 18; 60.9 deg, intensity 20; 61.0 deg, intensity 18; 61.8 deg, intensity 18; 72.4 deg, intensity 12

Cell and atoms:
```
data_Er3AlTl2
_cell_length_a 5.2972
_cell_length_b 15.8548
_cell_length_c 3.6446
_cell_angle_alpha 90.00
_cell_angle_beta 90.00
_cell_angle_gamma 90.00
_symmetry_space_group_name_H-M 'C m m m'
_symmetry_Int_Tables_number 65
_symmetry_space_group_name_Hall '-C 2 2'
loop_
_atom_site_label
_atom_site_fract_x
_atom_site_fract_y
_atom_site_fract_z
Er1 0.0000 0.0000 0.0000
Er2 0.0000 0.3415 0.0000
Al1 0.0000 0.5000 0.5000
Tl1 0.0000 0.1701 0.5000
```

=====

The following is a simulated PXRD pattern of Er5Al2Tl. It was derived from a crystal structure in Alexandria, relaxed with GGA-PBE, using Cu Kα.

Top 8 peaks for 2θ = 10–90°, sorted by position:
26.4 deg, intensity 45; 29.8 deg, intensity 55; 31.9 deg, intensity 100; 32.6 deg, intensity 26; 34.1 deg, intensity 71; 36.6 deg, intensity 73; 52.0 deg, intensity 21; 56.5 deg, intensity 33

Cell and atoms:
```
data_Er5Al2Tl
_cell_length_a 7.7582
_cell_length_b 7.7582
_cell_length_c 14.2881
_cell_angle_alpha 90.00
_cell_angle_beta 90.00
_cell_angle_gamma 90.00
_symmetry_space_group_name_H-M 'I 4/m c m'
_symmetry_Int_Tables_number 140
_symmetry_space_group_name_Hall '-I 4 2c'
loop_
_atom_site_label
_atom_site_fract_x
_atom_site_fract_y
_atom_site_fract_z
Er1 0.0000 0.0000 0.0000
Er2 0.1664 0.3336 0.1462
Al1 0.1233 0.3767 0.5000
Tl1 0.0000 0.0000 0.2500
```

=====

The following is a simulated PXRD pattern of ErTm6Al4. It was derived from a crystal structure in Alexandria, relaxed with GGA-PBE, using Cu Kα.

Top 8 peaks for 2θ = 10–90°, sorted by position:
28.3 deg, intensity 50; 29.1 deg, intensity 100; 32.1 deg, intensity 22; 34.5 deg, intensity 28; 36.5 deg, intensity 25; 47.9 deg, intensity 20; 51.9 deg, intensity 18; 55.5 deg, intensity 18

Cell and atoms:
```
data_ErTm6Al4
_cell_length_a 7.3548
_cell_length_b 7.3548
_cell_length_c 11.1427
_cell_angle_alpha 90.00
_cell_angle_beta 90.00
_cell_angle_gamma 90.00
_symmetry_space_group_name_H-M 'I -4 2 m'
_symmetry_Int_Tables_number 121
_symmetry_space_group_name_Hall 'I -4 2'
loop_
_atom_site_label
_atom_site_fract_x
_atom_site_fract_y
_atom_site_fract_z
Er1 0.0000 0.0000 0.0000
Tm1 0.0000 0.5000 0.0000
Tm2 0.1898 0.1898 0.7200
Al1 0.1544 0.1544 0.4389
```

=====

The following is a simulated PXRD pattern of ErTm6Al2. It was derived from a crystal structure in Alexandria, relaxed with GGA-PBE, using Cu Kα.

Top 8 peaks for 2θ = 10–90°, sorted by position:
26.4 deg, intensity 11; 32.5 deg, intensity 30; 32.7 deg, intensity 25; 33.9 deg, intensity 100; 50.7 deg, intensity 9; 61.5 deg, intensity 10; 61.7 deg, intensity 14; 84.5 deg, intensity 10

Cell and atoms:
```
data_ErTm6Al2
_cell_length_a 12.3324
_cell_length_b 3.6022
_cell_length_c 11.6247
_cell_angle_alpha 90.00
_cell_angle_beta 108.75
_cell_angle_gamma 90.00
_symmetry_space_group_name_H-M 'C 1 2/m 1'
_symmetry_Int_Tables_number 12
_symmetry_space_group_name_Hall '-C 2y'
loop_
_atom_site_label
_atom_site_fract_x
_atom_site_fract_y
_atom_site_fract_z
Er1 0.0000 0.0000 0.0000
Tm1 0.0209 0.0000 0.3315
Tm2 0.1864 0.5000 0.8759
Tm3 0.1879 0.5000 0.5866
Al1 0.1490 0.5000 0.2059
```

=====

The following is a simulated PXRD pattern of YErTmAl. It was derived from a crystal structure in Alexandria, relaxed with GGA-PBE, using Cu Kα.

Top 8 peaks for 2θ = 10–90°, sorted by position:
18.7 deg, intensity 22; 26.7 deg, intensity 19; 32.8 deg, intensity 100; 37.9 deg, intensity 17; 38.1 deg, intensity 33; 54.8 deg, intensity 23; 65.2 deg, intensity 14; 65.5 deg, intensity 13

Cell and atoms:
```
data_YErTmAl
_cell_length_a 4.7128
_cell_length_b 4.7234
_cell_length_c 4.7526
_cell_angle_alpha 90.00
_cell_angle_beta 90.00
_cell_angle_gamma 90.00
_symmetry_space_group_name_H-M 'P m m m'
_symmetry_Int_Tables_number 47
_symmetry_space_group_name_Hall '-P 2 2'
loop_
_atom_site_label
_atom_site_fract_x
_atom_site_fract_y
_atom_site_fract_z
Y1 0.0000 0.0000 0.0000
Er1 0.0000 0.5000 0.5000
Tm1 0.5000 0.0000 0.5000
Al1 0.5000 0.5000 0.0000
```